Entry 1:
# KNa3I3
Theoretical XRD peak list, Cu Kα X-rays. Input: a DFT-relaxed cell (PBE, Alexandria).

Cell and atoms:
```
14
Lattice="8.8726 0.0000 0.0000 0.0000 8.8726 0.0000 0.0000 0.0000 8.8726" Properties=species:S:1:pos:R:3 pbc="T T T"
K 0.0000 0.0000 0.0000
K 4.4363 4.4363 4.4363
Na 0.0000 2.2182 4.4363
Na 0.0000 6.6545 4.4363
Na 2.2182 4.4363 0.0000
Na 4.4363 0.0000 2.2182
Na 4.4363 0.0000 6.6545
Na 6.6545 4.4363 0.0000
I 0.0000 4.4363 2.2182
I 0.0000 4.4363 6.6545
I 2.2182 0.0000 4.4363
I 4.4363 2.2182 0.0000
I 4.4363 6.6545 0.0000
I 6.6545 0.0000 4.4363
```

Most intense lines, 5 to 70 degrees two-theta, in order of rising 2θ:
14.1 deg, d = 6.274 Å, I = 42
20.0 deg, d = 4.436 Å, I = 30
22.4 deg, d = 3.968 Å, I = 100
24.6 deg, d = 3.622 Å, I = 73
35.0 deg, d = 2.561 Å, I = 43
36.5 deg, d = 2.461 Å, I = 28
37.9 deg, d = 2.371 Å, I = 45
40.7 deg, d = 2.218 Å, I = 30
46.9 deg, d = 1.936 Å, I = 27
55.8 deg, d = 1.648 Å, I = 25

=====

Entry 2:
# RbNbPd2Br
Theoretical XRD peak list, Cu Kα X-rays. Input: a DFT-relaxed cell (PBE, Alexandria).

Cell and atoms:
```
10
Lattice="8.9237 0.0000 0.0000 0.0000 3.4746 0.0000 -3.5394 0.0000 8.5549" Properties=species:S:1:pos:R:3 pbc="T T T"
Rb 0.0000 0.0000 0.0000
Rb 4.4618 1.7373 0.0000
Nb 2.1370 1.7373 4.4949
Nb 6.5988 0.0000 4.4949
Pd -1.5436 1.7373 6.2952
Pd 0.3255 0.0000 5.2815
Pd 2.9183 0.0000 6.2952
Pd 4.7873 1.7373 5.2815
Br 2.5316 0.0000 2.3770
Br 6.9935 1.7373 2.3770
```

Most intense lines, 5 to 70 degrees two-theta, in order of rising 2θ:
10.3 deg, d = 8.555 Å, I = 100
20.8 deg, d = 4.277 Å, I = 13
27.4 deg, d = 3.259 Å, I = 32
32.3 deg, d = 2.768 Å, I = 73
37.5 deg, d = 2.398 Å, I = 21
39.1 deg, d = 2.306 Å, I = 25
39.9 deg, d = 2.257 Å, I = 27
40.7 deg, d = 2.218 Å, I = 20
41.9 deg, d = 2.156 Å, I = 31
52.7 deg, d = 1.737 Å, I = 15

=====

Entry 3:
# TbPa4P6
Theoretical XRD peak list, Cu Kα X-rays. Input: a DFT-relaxed cell (PBE, Alexandria).

Cell and atoms:
```
22
Lattice="5.4611 3.1530 4.5316 -5.4611 3.1530 4.5316 0.0000 -6.3059 4.5316" Properties=species:S:1:pos:R:3 pbc="T T T"
Tb 0.0000 0.0000 0.0000
Tb 0.0000 0.0000 6.7974
Pa -3.3548 0.4952 5.6645
Pa 0.0000 0.0000 3.3987
Pa -2.1063 -2.6577 7.9303
Pa 1.2485 -3.1530 5.6645
Pa -1.2485 3.1530 7.9303
Pa 2.1063 2.6577 5.6645
Pa 0.0000 0.0000 10.1961
Pa 3.3548 -0.4952 7.9303
P -4.6329 -1.1568 7.4815
P -1.3147 -4.5906 6.1132
P -1.3147 -1.7153 5.2157
P -3.3182 3.4338 6.1132
P -0.8282 1.9962 5.2157
P -2.1429 0.2809 8.3790
P 2.1429 -0.2809 5.2157
P 0.8282 -1.9962 8.3790
P 3.3182 -3.4338 7.4815
P 1.3147 1.7153 8.3790
P 1.3147 4.5906 7.4815
P 4.6329 1.1568 6.1132
```

Most intense lines, 5 to 70 degrees two-theta, in order of rising 2θ:
22.9 deg, d = 3.882 Å, I = 25
25.5 deg, d = 3.487 Å, I = 83
28.3 deg, d = 3.153 Å, I = 100
32.4 deg, d = 2.760 Å, I = 53
34.8 deg, d = 2.576 Å, I = 41
36.5 deg, d = 2.463 Å, I = 32
38.5 deg, d = 2.339 Å, I = 33
43.8 deg, d = 2.066 Å, I = 25
49.9 deg, d = 1.829 Å, I = 38
50.1 deg, d = 1.822 Å, I = 24

=====

Entry 4:
# Ac6Si2HSe3
Theoretical XRD peak list, Cu Kα X-rays. Input: a DFT-relaxed cell (PBE, Alexandria).

Cell and atoms:
```
12
Lattice="9.7555 -2.2498 0.0000 9.7555 2.2498 0.0000 -2.3224 0.0000 8.6500" Properties=species:S:1:pos:R:3 pbc="T T T"
Ac 18.9237 0.0000 2.1560
Ac -1.7352 0.0000 6.4940
Ac 4.2845 0.0000 7.9766
Ac 5.6463 0.0000 3.5588
Ac 11.5422 0.0000 5.0912
Ac 12.9040 0.0000 0.6734
Si 1.2232 0.0000 7.1432
Si 15.9654 0.0000 1.5068
H 8.5943 0.0000 4.3250
Se 2.5292 0.0000 2.9056
Se 9.7555 0.0000 0.0000
Se 14.6593 0.0000 5.7444
```

Most intense lines, 5 to 70 degrees two-theta, in order of rising 2θ:
24.1 deg, d = 3.699 Å, I = 28
24.3 deg, d = 3.658 Å, I = 56
24.8 deg, d = 3.593 Å, I = 27
28.1 deg, d = 3.173 Å, I = 100
28.4 deg, d = 3.141 Å, I = 48
39.9 deg, d = 2.257 Å, I = 38
40.1 deg, d = 2.250 Å, I = 20
40.9 deg, d = 2.208 Å, I = 37
47.3 deg, d = 1.923 Å, I = 19
49.9 deg, d = 1.829 Å, I = 21

=====

Entry 5:
# PmY6Pd3
Theoretical XRD peak list, Cu Kα X-rays. Input: a DFT-relaxed cell (PBE, Alexandria).

Cell and atoms:
```
20
Lattice="5.7219 -6.6402 0.0000 5.7219 6.6402 0.0000 0.0000 0.0000 7.2815" Properties=species:S:1:pos:R:3 pbc="T T T"
Pm 5.7219 4.2030 3.6408
Pm 5.7219 -4.2030 0.0000
Y 3.1279 2.5530 2.0410
Y 1.9404 0.5263 4.5695
Y 1.9404 -0.5263 0.9287
Y 5.7219 3.0631 7.1160
Y 3.1279 -2.5530 5.6818
Y 5.7219 0.4354 4.5177
Y 5.7219 -0.4354 0.8769
Y 8.3158 2.5530 2.0410
Y 5.7219 -3.0631 3.4753
Y 9.5033 0.5263 4.5695
Y 9.5033 -0.5263 0.9287
Y 8.3158 -2.5530 5.6818
Pd 5.7219 5.6419 6.0877
Pd 3.5638 1.3558 6.6524
Pd 3.5638 -1.3558 3.0117
Pd 7.8799 1.3558 6.6524
Pd 7.8799 -1.3558 3.0117
Pd 5.7219 -5.6419 2.4469
```

Most intense lines, 5 to 70 degrees two-theta, in order of rising 2θ:
27.2 deg, d = 3.275 Å, I = 27
29.1 deg, d = 3.072 Å, I = 27
29.6 deg, d = 3.021 Å, I = 48
30.9 deg, d = 2.890 Å, I = 52
31.3 deg, d = 2.861 Å, I = 35
32.1 deg, d = 2.788 Å, I = 60
33.4 deg, d = 2.686 Å, I = 36
33.5 deg, d = 2.671 Å, I = 95
34.7 deg, d = 2.583 Å, I = 100
39.5 deg, d = 2.280 Å, I = 40

=====

Entry 6:
# Al3Pb
Theoretical XRD peak list, Cu Kα X-rays. Input: a DFT-relaxed cell (PBE, Alexandria).

Cell and atoms:
```
16
Lattice="6.9834 0.0000 0.0000 0.0000 8.2183 0.0000 0.0000 0.0000 6.0024" Properties=species:S:1:pos:R:3 pbc="T T T"
Al 0.7845 2.0546 0.9837
Al 1.3175 4.3824 5.6107
Al 1.3175 7.9451 5.6107
Al 2.1742 0.2733 2.6096
Al 2.1742 3.8359 2.6096
Al 2.7072 6.1638 3.9849
Al 4.2762 2.0546 2.0175
Al 4.8092 4.3824 3.3928
Al 4.8092 7.9451 3.3928
Al 5.6659 0.2733 0.3916
Al 5.6659 3.8359 0.3916
Al 6.1989 6.1638 5.0187
Pb 0.1455 6.1638 2.1557
Pb 3.3462 2.0546 5.1569
Pb 3.6372 6.1638 0.8455
Pb 6.8379 2.0546 3.8467
```

Most intense lines, 5 to 70 degrees two-theta, in order of rising 2θ:
18.3 deg, d = 4.847 Å, I = 77
19.5 deg, d = 4.552 Å, I = 38
21.6 deg, d = 4.109 Å, I = 52
25.5 deg, d = 3.492 Å, I = 28
29.3 deg, d = 3.050 Å, I = 56
31.6 deg, d = 2.833 Å, I = 59
33.7 deg, d = 2.661 Å, I = 61
34.3 deg, d = 2.614 Å, I = 100
44.7 deg, d = 2.028 Å, I = 20
46.7 deg, d = 1.943 Å, I = 41